No. 1
Calculated X-ray diffraction stick pattern of Ca5In2Ge2 for Cu Kα, from a crystal structure in Alexandria, relaxed with GGA-PBE.
Lines closer than 0.1° are merged.

Main lines, low angle first (5 to 70 degrees two-theta):
d = 3.976 Å, 22.4°, I = 36; d = 3.534 Å, 25.2°, I = 39; d = 2.967 Å, 30.1°, I = 31; d = 2.888 Å, 31.0°, I = 100; d = 2.737 Å, 32.7°, I = 44; d = 2.708 Å, 33.1°, I = 34; d = 2.258 Å, 39.9°, I = 35; d = 1.516 Å, 61.1°, I = 27

Structure:
Unit cell a=9.5052 b=9.5052 c=7.7229 alpha=90.00 beta=90.00 gamma=48.17
Fractional coordinates of all 18 atoms:
Ca: 0.0000 0.0000 0.0000
Ca: 0.0573 0.6976 0.6783
Ca: 0.1976 0.5573 0.1783
Ca: 0.3024 0.9427 0.6783
Ca: 0.4427 0.8024 0.1783
Ca: 0.5000 0.5000 0.5000
Ca: 0.5573 0.1976 0.8217
Ca: 0.6976 0.0573 0.3217
Ca: 0.8024 0.4427 0.8217
Ca: 0.9427 0.3024 0.3217
In: 0.2216 0.2216 0.0000
In: 0.2784 0.2784 0.5000
In: 0.7216 0.7216 0.5000
In: 0.7784 0.7784 0.0000
Ge: 0.1170 0.8830 0.3823
Ge: 0.3830 0.6170 0.8823
Ge: 0.6170 0.3830 0.1177
Ge: 0.8830 0.1170 0.6177



No. 2
Calculated X-ray diffraction stick pattern of CrNiHIr for Cu Kα, from a crystal structure in Alexandria, relaxed with GGA-PBE.
Lines closer than 0.1° are merged.

Main lines, low angle first (5 to 70 degrees two-theta):
d = 6.323 Å, 14.0°, I = 100; d = 3.162 Å, 28.2°, I = 24; d = 2.307 Å, 39.0°, I = 72; d = 2.108 Å, 42.9°, I = 38; d = 2.087 Å, 43.4°, I = 95; d = 1.982 Å, 45.8°, I = 81; d = 1.660 Å, 55.3°, I = 25; d = 1.470 Å, 63.3°, I = 19

Structure:
Unit cell a=2.6841 b=2.6841 c=18.9702 alpha=90.00 beta=90.00 gamma=120.00
Fractional coordinates of all 12 atoms:
Cr: 0.0000 0.0000 0.0000
Cr: 0.3333 0.6667 0.6667
Cr: 0.6667 0.3333 0.3333
Ni: 0.0000 0.0000 0.5563
Ni: 0.3333 0.6667 0.2229
Ni: 0.6667 0.3333 0.8896
H: 0.0000 0.0000 0.2748
H: 0.3333 0.6667 0.9415
H: 0.6667 0.3333 0.6081
Ir: 0.0000 0.0000 0.7722
Ir: 0.3333 0.6667 0.4389
Ir: 0.6667 0.3333 0.1056



No. 3
Calculated X-ray diffraction stick pattern of Li3AsO4 for Cu Kα, from a crystal structure in Alexandria, relaxed with GGA-PBE.
Lines closer than 0.1° are merged.

Main lines, low angle first (5 to 70 degrees two-theta):
d = 5.475 Å, 16.2°, I = 26; d = 4.151 Å, 21.4°, I = 100; d = 4.010 Å, 22.2°, I = 95; d = 3.758 Å, 23.7°, I = 74; d = 3.184 Å, 28.0°, I = 26; d = 2.752 Å, 32.5°, I = 38; d = 2.699 Å, 33.2°, I = 25; d = 2.581 Å, 34.8°, I = 33

Structure:
Unit cell a=10.9493 b=6.3683 c=5.1628 alpha=90.00 beta=90.00 gamma=90.00
Fractional coordinates of all 32 atoms:
Li: 0.0770 0.2500 0.1946
Li: 0.1656 0.5039 0.8096
Li: 0.1656 0.9961 0.8096
Li: 0.3344 0.0039 0.3096
Li: 0.3344 0.4961 0.3096
Li: 0.4230 0.7500 0.6946
Li: 0.5770 0.2500 0.3054
Li: 0.6656 0.5039 0.6904
Li: 0.6656 0.9961 0.6904
Li: 0.8344 0.0039 0.1904
Li: 0.8344 0.4961 0.1904
Li: 0.9230 0.7500 0.8054
As: 0.0871 0.7500 0.3119
As: 0.4129 0.2500 0.8119
As: 0.5871 0.7500 0.1881
As: 0.9129 0.2500 0.6881
O: 0.0609 0.2500 0.7996
O: 0.0873 0.7500 0.6469
O: 0.1624 0.5293 0.2025
O: 0.1624 0.9707 0.2025
O: 0.3376 0.0293 0.7025
O: 0.3376 0.4707 0.7025
O: 0.4127 0.2500 0.1469
O: 0.4391 0.7500 0.2996
O: 0.5609 0.2500 0.7004
O: 0.5873 0.7500 0.8531
O: 0.6624 0.5293 0.2975
O: 0.6624 0.9707 0.2975
O: 0.8376 0.0293 0.7975
O: 0.8376 0.4707 0.7975
O: 0.9127 0.2500 0.3531
O: 0.9391 0.7500 0.2004



No. 4
Calculated X-ray diffraction stick pattern of YThZn2Ga2 for Cu Kα, from a crystal structure in Alexandria, relaxed with GGA-PBE.
Lines closer than 0.1° are merged.

Main lines, low angle first (5 to 70 degrees two-theta):
d = 3.815 Å, 23.3°, I = 17; d = 3.408 Å, 26.2°, I = 18; d = 2.688 Å, 33.3°, I = 100; d = 2.203 Å, 41.0°, I = 49; d = 1.894 Å, 48.0°, I = 10; d = 1.704 Å, 53.8°, I = 26; d = 1.436 Å, 64.9°, I = 24; d = 1.348 Å, 69.8°, I = 23

Structure:
Unit cell a=4.4053 b=4.4053 c=7.5779 alpha=90.00 beta=90.00 gamma=120.00
Fractional coordinates of all 6 atoms:
Y: 0.0000 0.0000 0.0000
Th: 0.0000 0.0000 0.5000
Zn: 0.3333 0.6667 0.2358
Zn: 0.6667 0.3333 0.7642
Ga: 0.3333 0.6667 0.7609
Ga: 0.6667 0.3333 0.2391



No. 5
Calculated X-ray diffraction stick pattern of Pr4HoTm5 for Cu Kα, from a crystal structure in Alexandria, relaxed with GGA-PBE.
Lines closer than 0.1° are merged.

Main lines, low angle first (5 to 70 degrees two-theta):
d = 3.457 Å, 25.8°, I = 16; d = 3.294 Å, 27.1°, I = 20; d = 2.840 Å, 31.5°, I = 49; d = 2.830 Å, 31.6°, I = 25; d = 2.645 Å, 33.9°, I = 100; d = 2.008 Å, 45.2°, I = 11; d = 1.895 Å, 48.0°, I = 15; d = 1.494 Å, 62.1°, I = 16

Structure:
Unit cell a=3.5143 b=8.7062 c=11.3460 alpha=89.90 beta=90.00 gamma=78.42
Fractional coordinates of all 10 atoms:
Pr: 0.0335 0.4326 0.2493
Pr: 0.3407 0.8214 0.2501
Pr: 0.6593 0.1786 0.7499
Pr: 0.9665 0.5674 0.7507
Ho: 0.5000 0.5000 0.5000
Tm: 0.1725 0.1542 0.4538
Tm: 0.1720 0.1550 0.0451
Tm: 0.5000 0.5000 0.0000
Tm: 0.8280 0.8450 0.9549
Tm: 0.8275 0.8458 0.5462



No. 6
Calculated X-ray diffraction stick pattern of Ce2ThZr for Cu Kα, from a crystal structure in Alexandria, relaxed with GGA-PBE.
Lines closer than 0.1° are merged.

Main lines, low angle first (5 to 70 degrees two-theta):
d = 9.587 Å, 9.2°, I = 16; d = 3.200 Å, 27.9°, I = 10; d = 2.771 Å, 32.3°, I = 100; d = 2.400 Å, 37.5°, I = 50; d = 1.697 Å, 54.0°, I = 35; d = 1.448 Å, 64.3°, I = 28; d = 1.446 Å, 64.4°, I = 13; d = 1.386 Å, 67.6°, I = 12

Structure:
Unit cell a=3.3966 b=3.3966 c=9.5871 alpha=90.00 beta=90.00 gamma=90.00
Fractional coordinates of all 4 atoms:
Ce: 0.0000 0.0000 0.2442
Ce: 0.0000 0.0000 0.7558
Th: 0.5000 0.5000 0.5000
Zr: 0.5000 0.5000 0.0000



Q: Number 2 is which compound?
A: CrNiHIr